The following is a calculated X-ray diffraction stick pattern of Sr5Zn5Ni2. It was derived from DFT lattice parameters and positions (GGA-PBE), using CuKα.

Top 8 peaks for 2θ from 10° to 90°, most intense first:
Position (°2θ)  I/Imax  (hkl)
29.78  100  3 1 0
38.16  59  5 1 -4
31.13  47  2 0 -4
33.63  47  6 0 -2
32.51  44  1 1 -3
32.03  41  1 1 2
42.64  39  0 2 0
59.23  28  9 1 -2

Atomic structure:
a b c (Å): 16.4145 4.2408 12.1303
angles (deg): 90.00 129.15 90.00
Space group C2/m (No. 12)
Symmetry-distinct sites (fractional):
Sr1 0.0000 0.0000 0.0000 (multiplicity 2)
Sr2 0.1183 0.5000 0.8189 (multiplicity 4)
Sr3 0.1937 0.5000 0.5783 (multiplicity 4)
Zn1 0.0000 0.0000 0.5000 (multiplicity 2)
Zn2 0.0709 0.0000 0.3183 (multiplicity 4)
Zn3 0.2040 0.5000 0.1597 (multiplicity 4)
Ni1 0.1116 0.5000 0.2601 (multiplicity 4)